Record 1
This entry pairs a crystal structure of Tb7Nd4Sm with its simulated powder X-ray diffraction pattern. Radiation: Cu Ka. Structure: a cell relaxed with GGA-PBE.
Neutral-atom scattering factors, no anomalous dispersion.

Peak list (8 most intense, 2θ = 15–90°, in order of rising 2θ)
- 30.1 deg, I 56.4, (0 0 3)
- 30.8 deg, I 61.2, (2 0 2)
- 31.2 deg, I 83.4, (1 -2 0)
- 31.3 deg, I 79.4, (1 2 -1)
- 31.7 deg, I 100.0, (2 0 -1)
- 32.0 deg, I 53.7, (1 2 2)
- 32.2 deg, I 28.5, (0 1 3)
- 56.3 deg, I 25.6, (3 2 -2)

Structure:
```
data_Tb7Nd4Sm
_chemical_formula_sum 'Tb7 Nd4 Sm1'
_space_group_name_H-M_alt 'P -1'
_space_group_IT_number 2
_space_group_name_Hall '-P 1'
_cell_length_a 6.597
_cell_length_b 6.900
_cell_length_c 9.154
_cell_angle_alpha 85.43
_cell_angle_beta 77.27
_cell_angle_gamma 82.15
loop_
_atom_site_label
_atom_site_type_symbol
_atom_site_fract_x
_atom_site_fract_y
_atom_site_fract_z
Tb1 Tb 0.000 0.000 0.000
Tb2 Tb 0.189 0.605 0.384
Tb3 Tb 0.319 0.198 0.641
Tb4 Tb 0.488 0.749 0.051
Nd1 Nd 0.162 0.113 0.309
Nd2 Nd 0.361 0.692 0.717
Sm1 Sm 0.000 0.500 0.000
```

Record 2
This entry pairs a crystal structure of LaH8Ir2Au with its simulated powder X-ray diffraction pattern. Radiation: Cu Ka. Structure: a cell relaxed with GGA-PBE.
Neutral-atom scattering factors, no anomalous dispersion.

Peak list (8 most intense, 2θ = 15–90°, in order of rising 2θ)
- 15.8 deg, I 48.7, (0 0 3)
- 29.8 deg, I 100.0, (1 0 4)
- 33.9 deg, I 19.7, (0 1 5)
- 36.5 deg, I 99.2, (1 1 0)
- 39.9 deg, I 29.1, (2 -1 3)
- 43.1 deg, I 23.6, (1 0 7)
- 47.8 deg, I 27.9, (0 2 4)
- 61.6 deg, I 26.2, (2 1 4)

Structure:
```
data_LaH8Ir2Au
_chemical_formula_sum 'La3 H24 Ir6 Au3'
_space_group_name_H-M_alt 'R -3'
_space_group_IT_number 148
_space_group_name_Hall '-R 3'
_cell_length_a 4.9277
_cell_length_b 4.9277
_cell_length_c 16.8772
_cell_angle_alpha 90.00
_cell_angle_beta 90.00
_cell_angle_gamma 120.00
loop_
_atom_site_label
_atom_site_type_symbol
_atom_site_fract_x
_atom_site_fract_y
_atom_site_fract_z
La1 La 0.0000 0.0000 0.0000
H1 H 0.0000 0.0000 0.3099
H2 H 0.0335 0.2928 0.8831
Ir1 Ir 0.0000 0.0000 0.2115
Au1 Au 0.0000 0.0000 0.5000
```

Record 3
This entry pairs a crystal structure of Ca3Cd2Ag4 with its simulated powder X-ray diffraction pattern. Radiation: Cu Ka. Structure: a cell relaxed with GGA-PBE.
Neutral-atom scattering factors, no anomalous dispersion.

Peak list (8 most intense, 2θ = 15–90°, in order of rising 2θ)
- 17.0 deg, I 27.6, (2 0 0)
- 18.7 deg, I 98.0, (2 0 -1)
- 31.9 deg, I 60.5, (3 1 0)
- 35.4 deg, I 25.0, (1 1 -3)
- 36.9 deg, I 100.0, (1 1 3)
- 38.0 deg, I 56.1, (0 2 0)
- 39.1 deg, I 40.4, (3 1 2)
- 47.6 deg, I 27.6, (5 1 0)

Structure:
```
data_Ca3Cd2Ag4
_chemical_formula_sum 'Ca6 Cd4 Ag8'
_space_group_name_H-M_alt 'C 1 2/m 1'
_space_group_IT_number 12
_space_group_name_Hall '-C 2y'
_cell_length_a 10.507
_cell_length_b 4.737
_cell_length_c 9.157
_cell_angle_alpha 90.00
_cell_angle_beta 96.04
_cell_angle_gamma 90.00
loop_
_atom_site_label
_atom_site_type_symbol
_atom_site_fract_x
_atom_site_fract_y
_atom_site_fract_z
Ca1 Ca 0.000 0.000 0.000
Ca2 Ca 0.126 0.500 0.387
Cd1 Cd 0.189 0.500 0.765
Ag1 Ag 0.078 0.000 0.633
Ag2 Ag 0.217 0.500 0.080
```

Record 4
This entry pairs a crystal structure of Ta3CdSe with its simulated powder X-ray diffraction pattern. Radiation: Cu Ka. Structure: a cell relaxed with GGA-PBE.
Neutral-atom scattering factors, no anomalous dispersion.

Peak list (8 most intense, 2θ = 15–90°, in order of rising 2θ)
- 18.7 deg, I 18.7, (1 0 0)
- 32.6 deg, I 100.0, (1 1 1)
- 37.9 deg, I 82.3, (2 0 0)
- 42.5 deg, I 9.2, (2 1 0)
- 54.6 deg, I 57.1, (2 2 0)
- 65.1 deg, I 41.4, (3 1 1)
- 68.4 deg, I 19.3, (2 2 2)
- 90.0 deg, I 18.2, (3 3 1)

Structure:
```
data_Ta3CdSe
_chemical_formula_sum 'Ta3 Cd1 Se1'
_space_group_name_H-M_alt 'P m -3 m'
_space_group_IT_number 221
_space_group_name_Hall '-P 4 2 3'
_cell_length_a 4.752
_cell_length_b 4.752
_cell_length_c 4.752
_cell_angle_alpha 90.00
_cell_angle_beta 90.00
_cell_angle_gamma 90.00
loop_
_atom_site_label
_atom_site_type_symbol
_atom_site_fract_x
_atom_site_fract_y
_atom_site_fract_z
Ta1 Ta 0.000 0.000 0.500
Cd1 Cd 0.500 0.500 0.500
Se1 Se 0.000 0.000 0.000
```